Sm2As4Au: simulated XRD peak list (Cu Ka), based on a PBE-relaxed structure.
Kinematic intensities with the Lorentz-polarization factor, no thermal factor.

Most intense lines, 10 to 90 degrees two-theta, low angle first:
Position (°2θ), d (Å), intensity, (hkl)
21.9, 4.058, 13, 1 0 0
23.7, 3.749, 37, 1 0 1
28.6, 3.125, 24, 1 0 2
35.3, 2.544, 26, 1 0 3
36.3, 2.476, 100, 1 1 2
36.7, 2.449, 15, 0 0 4
44.7, 2.029, 35, 2 0 0
51.8, 1.764, 15, 1 0 5
58.2, 1.586, 13, 2 1 3
59.1, 1.562, 15, 2 0 4
70.8, 1.331, 12, 2 1 5
76.8, 1.241, 23, 3 1 2

Structure:
```
data_Sm2As4Au
_chemical_formula_sum 'Sm2 As4 Au1'
_cell_length_a 4.0578
_cell_length_b 4.0578
_cell_length_c 9.7960
_cell_angle_alpha 90.00
_cell_angle_beta 90.00
_cell_angle_gamma 90.00
_space_group_name_H-M_alt 'P -4 m 2'
_space_group_IT_number 115
loop_
_space_group_symop_operation_xyz
'x,y,z'
'y,-x,-z'
'-x,-y,z'
'-y,x,-z'
'-x,y,z'
'-y,-x,-z'
'x,-y,z'
'y,x,-z'
loop_
_atom_site_label
_atom_site_type_symbol
_atom_site_fract_x
_atom_site_fract_y
_atom_site_fract_z
Sm1 Sm 0.0000 0.5000 0.2409
As1 As 0.0000 0.0000 0.0000
As2 As 0.0000 0.5000 0.6650
As3 As 0.5000 0.5000 0.0000
Au1 Au 0.0000 0.0000 0.5000
```

---

CsHg2P2S7: simulated XRD peak list (Cu Ka), based on a PBE-relaxed structure.
Kinematic intensities with the Lorentz-polarization factor, no thermal factor.

Most intense lines, 10 to 90 degrees two-theta, low angle first:
Position (°2θ), d (Å), intensity, (hkl)
15.1, 5.856, 45, 0 0 6
18.8, 4.728, 100, 1 0 4
20.3, 4.385, 19, 0 1 5
25.8, 3.458, 31, 0 1 8
27.5, 3.239, 46, 1 1 0
30.5, 2.928, 17, 0 0 12
33.5, 2.672, 36, 0 2 4
36.0, 2.493, 19, 1 1 9
38.1, 2.364, 18, 2 0 8
41.6, 2.172, 16, 1 1 12
43.9, 2.061, 26, 2 1 4
48.7, 1.870, 19, 3 0 0

Structure:
```
data_CsHg2P2S7
_chemical_formula_sum 'Cs3 Hg6 P6 S21'
_cell_length_a 6.4788
_cell_length_b 6.4788
_cell_length_c 35.1337
_cell_angle_alpha 90.00
_cell_angle_beta 90.00
_cell_angle_gamma 120.00
_space_group_name_H-M_alt 'R 3 2'
_space_group_IT_number 155
_space_group_name_Hall 'R 3 2"'
loop_
_atom_site_label
_atom_site_type_symbol
_atom_site_fract_x
_atom_site_fract_y
_atom_site_fract_z
Cs1 Cs 0.0000 0.0000 0.0000
Hg1 Hg 0.0000 0.0000 0.2406
P1 P 0.0000 0.0000 0.4375
S1 S 0.0000 0.0000 0.5000
S2 S 0.0145 0.3902 0.2502
```

---

In3Te4Au: simulated XRD peak list (Cu Ka), based on a PBE-relaxed structure.
Kinematic intensities with the Lorentz-polarization factor, no thermal factor.

Most intense lines, 10 to 90 degrees two-theta, low angle first:
Position (°2θ), d (Å), intensity, (hkl)
14.7, 6.046, 6, 1 0 1
22.8, 3.902, 100, 1 1 2
35.8, 2.510, 2, 2 1 3
37.6, 2.390, 80, 2 0 4
44.5, 2.038, 50, 1 1 6
49.1, 1.857, 2, 3 2 1
54.3, 1.690, 13, 0 0 8
59.6, 1.551, 20, 3 1 6
67.9, 1.380, 27, 2 2 8
72.7, 1.301, 15, 1 1 10
80.4, 1.195, 8, 4 0 8
84.9, 1.142, 14, 3 1 10

Structure:
```
data_In3Te4Au
_chemical_formula_sum 'In6 Te8 Au2'
_cell_length_a 6.7607
_cell_length_b 6.7607
_cell_length_c 13.5096
_cell_angle_alpha 90.00
_cell_angle_beta 90.00
_cell_angle_gamma 90.00
_space_group_name_H-M_alt 'I -4 2 m'
_space_group_IT_number 121
_space_group_name_Hall 'I -4 2'
loop_
_atom_site_label
_atom_site_type_symbol
_atom_site_fract_x
_atom_site_fract_y
_atom_site_fract_z
In1 In 0.0000 0.0000 0.0000
In2 In 0.0000 0.5000 0.2500
Te1 Te 0.2359 0.2359 0.3777
Au1 Au 0.0000 0.0000 0.5000
```

---

Ac2ScSi3Pd4: simulated XRD peak list (Cu Ka), based on a PBE-relaxed structure.
Kinematic intensities with the Lorentz-polarization factor, no thermal factor.

Most intense lines, 10 to 90 degrees two-theta, low angle first:
Position (°2θ), d (Å), intensity, (hkl)
21.9, 4.055, 24, 1 0 1
26.4, 3.377, 15, 1 0 2
28.7, 3.105, 22, 1 1 0
32.6, 2.748, 57, 1 0 3
33.5, 2.677, 100, 1 1 2
41.1, 2.196, 48, 2 0 0
47.8, 1.904, 27, 1 0 5
53.4, 1.715, 29, 2 1 3
59.5, 1.553, 16, 2 2 0
60.4, 1.532, 10, 1 1 6
64.8, 1.439, 22, 2 1 5
70.1, 1.343, 24, 3 1 2

Structure:
```
data_Ac2ScSi3Pd4
_chemical_formula_sum 'Ac2 Sc1 Si3 Pd4'
_cell_length_a 4.3916
_cell_length_b 4.3916
_cell_length_c 10.5665
_cell_angle_alpha 90.00
_cell_angle_beta 90.00
_cell_angle_gamma 90.00
_space_group_name_H-M_alt 'P -4 m 2'
_space_group_IT_number 115
loop_
_space_group_symop_operation_xyz
'x,y,z'
'y,-x,-z'
'-x,-y,z'
'-y,x,-z'
'-x,y,z'
'-y,-x,-z'
'x,-y,z'
'y,x,-z'
loop_
_atom_site_label
_atom_site_type_symbol
_atom_site_fract_x
_atom_site_fract_y
_atom_site_fract_z
Ac1 Ac 0.0000 0.5000 0.2380
Sc1 Sc 0.0000 0.0000 0.5000
Si1 Si 0.0000 0.5000 0.8809
Si2 Si 0.5000 0.5000 0.5000
Pd1 Pd 0.0000 0.0000 0.0000
Pd2 Pd 0.0000 0.5000 0.6440
Pd3 Pd 0.5000 0.5000 0.0000
```